Record 1
The following is a theoretical X-ray powder pattern of KNaPPt. It was derived from a PBE-relaxed structure, using copper Kα.
Peak positions follow from Bragg's law for the DFT cell and can differ from measured ones.

Main lines, sorted by position (2θ = 5–70°):
2θ = 15.6°, d 5.694, I 100; 2θ = 19.1°, d 4.642, I 37; 2θ = 31.4°, d 2.845, I 52; 2θ = 35.3°, d 2.540, I 50; 2θ = 37.1°, d 2.421, I 16; 2θ = 38.7°, d 2.325, I 26; 2θ = 40.5°, d 2.229, I 19; 2θ = 45.1°, d 2.009, I 33

Structure:
Cell lengths 5.6748, 7.2086, 9.2847 Å; angles 90.00, 90.00, 90.00 degrees
Fractional coordinates of all 16 atoms:
K: 0.2500 0.1470 0.0000
K: 0.2500 0.6470 0.5000
K: 0.7500 0.3530 0.5000
K: 0.7500 0.8530 0.0000
Na: 0.2500 0.1512 0.6511
Na: 0.2500 0.6512 0.1511
Na: 0.7500 0.3488 0.1511
Na: 0.7500 0.8488 0.6511
P: 0.2500 0.2563 0.3285
P: 0.2500 0.7563 0.8285
P: 0.7500 0.2437 0.8285
P: 0.7500 0.7437 0.3285
Pt: 0.0000 0.0000 0.3289
Pt: 0.0000 0.5000 0.8289
Pt: 0.5000 0.0000 0.3289
Pt: 0.5000 0.5000 0.8289

=====

Record 2
The following is a theoretical X-ray powder pattern of Er4Tm3Ni2Se2. It was derived from a PBE-relaxed structure, using copper Kα.
Peak positions follow from Bragg's law for the DFT cell and can differ from measured ones.

Main lines, sorted by position (2θ = 5–70°):
2θ = 29.8°, d 3.000, I 27; 2θ = 31.3°, d 2.860, I 60; 2θ = 31.4°, d 2.845, I 32; 2θ = 34.3°, d 2.617, I 66; 2θ = 35.2°, d 2.547, I 100; 2θ = 35.7°, d 2.515, I 48; 2θ = 48.4°, d 1.879, I 28; 2θ = 60.7°, d 1.526, I 26

Structure:
Cell lengths 8.9835, 8.9835, 8.9835 Å; angles 155.86, 67.36, 118.20 degrees
Fractional coordinates of all 11 atoms:
Er: 0.1257 0.0000 0.1257
Er: 0.5122 0.1524 0.3598
Er: 0.7926 0.1524 0.6402
Er: 0.8743 0.0000 0.8743
Tm: 0.1115 0.7955 0.3160
Tm: 0.4126 0.4126 0.0000
Tm: 0.4795 0.7955 0.6840
Ni: 0.2515 0.4896 0.7619
Ni: 0.7276 0.4896 0.2381
Se: 0.1558 0.6558 0.5000
Se: 0.7528 0.7528 0.0000

=====

Record 3
The following is a theoretical X-ray powder pattern of K2PdI2Br2. It was derived from a PBE-relaxed structure, using copper Kα.
Peak positions follow from Bragg's law for the DFT cell and can differ from measured ones.

Main lines, sorted by position (2θ = 5–70°):
2θ = 11.4°, d 7.762, I 85; 2θ = 19.5°, d 4.547, I 100; 2θ = 22.7°, d 3.923, I 40; 2θ = 25.4°, d 3.502, I 41; 2θ = 30.3°, d 2.952, I 99; 2θ = 32.6°, d 2.744, I 96; 2θ = 38.3°, d 2.350, I 68; 2θ = 52.2°, d 1.751, I 48

Structure:
Cell lengths 4.5469, 7.7631, 7.7620 Å; angles 90.00, 90.00, 90.00 degrees
Fractional coordinates of all 7 atoms:
K: 0.0000 0.0000 0.0000
K: 0.0000 0.5000 0.4380
Pd: 0.5000 0.0000 0.4668
I: 0.5000 0.2372 0.7055
I: 0.5000 0.7628 0.7055
Br: 0.5000 0.2299 0.2379
Br: 0.5000 0.7701 0.2379

=====

Record 4
The following is a theoretical X-ray powder pattern of Gd3Sn4Pb3. It was derived from a PBE-relaxed structure, using copper Kα.
Peak positions follow from Bragg's law for the DFT cell and can differ from measured ones.

Main lines, sorted by position (2θ = 5–70°):
2θ = 32.4°, d 2.765, I 100; 2θ = 34.7°, d 2.583, I 19; 2θ = 38.3°, d 2.351, I 17; 2θ = 39.5°, d 2.279, I 15; 2θ = 52.7°, d 1.738, I 12; 2θ = 60.8°, d 1.524, I 13; 2θ = 65.5°, d 1.424, I 14; 2θ = 67.2°, d 1.392, I 13

Structure:
Cell lengths 13.1130, 13.1130, 4.7010 Å; angles 90.00, 90.00, 159.98 degrees
Fractional coordinates of all 10 atoms:
Gd: 0.0000 0.0000 0.0000
Gd: 0.1894 0.8106 0.0000
Gd: 0.8106 0.1894 0.0000
Sn: 0.2904 0.7096 0.5000
Sn: 0.4027 0.5973 0.0000
Sn: 0.5973 0.4027 0.0000
Sn: 0.7096 0.2904 0.5000
Pb: 0.0990 0.9010 0.5000
Pb: 0.5000 0.5000 0.5000
Pb: 0.9010 0.0990 0.5000